The following is a calculated powder diffraction line list of Dy2ErPuN4. It was derived from a crystal structure in Alexandria, relaxed with PBE, using CuKα.
Peak positions follow from Bragg's law for the DFT cell and can differ from measured ones.

Top 10 peaks for 5 to 70 degrees two-theta, in order of rising 2θ:
- 31.69 deg, I 1000, hkl 2 0 0
- 36.71 deg, I 460, hkl 1 1 1
- 36.84 deg, I 228, hkl 2 0 -2
- 52.79 deg, I 80, hkl 0 2 0
- 52.99 deg, I 397, hkl 2 0 2
- 62.92 deg, I 151, hkl 2 2 0
- 63.04 deg, I 150, hkl 3 1 1
- 63.16 deg, I 149, hkl 4 0 -2
- 66.11 deg, I 81, hkl 2 2 -2
- 66.28 deg, I 80, hkl 4 0 0

Atomic structure:
a b c (Å): 5.9787 3.4680 5.9801
angles (deg): 90.00 109.37 90.00
Atoms (fractional coordinates):
Dy: 0.0000 0.0000 0.0000
Dy: 0.5000 0.5000 0.0000
Er: 0.0000 0.5000 0.5000
Pu: 0.5000 0.0000 0.5000
N: 0.2514 0.0000 0.7443
N: 0.2547 0.5000 0.2571
N: 0.7453 0.5000 0.7429
N: 0.7486 0.0000 0.2557